# MnNi3N3
Simulated X-ray diffraction stick pattern, CuKα. Input: a structure optimized by DFT (PBE).

Atomic structure:
```
data_MnNi3N3
_symmetry_space_group_name_H-M 'P 1'
_symmetry_Int_Tables_number 1
_symmetry_space_group_name_Hall 'P 1'
_cell_length_a 7.547
_cell_length_b 3.329
_cell_length_c 7.555
_cell_angle_alpha 90.00
_cell_angle_beta 119.85
_cell_angle_gamma 90.00
loop_
_atom_site_label
_atom_site_type_symbol
_atom_site_fract_x
_atom_site_fract_y
_atom_site_fract_z
_atom_site_occupancy
Mn1 Mn 0.167 0.250 0.333 1
Mn2 Mn 0.833 0.750 0.667 1
Ni1 Ni 0.139 0.250 0.878 1
Ni2 Ni 0.261 0.750 0.639 1
Ni3 Ni 0.379 0.750 0.239 1
Ni4 Ni 0.621 0.250 0.761 1
Ni5 Ni 0.739 0.250 0.361 1
Ni6 Ni 0.861 0.750 0.122 1
N1 N 0.098 0.750 0.756 1
N2 N 0.257 0.250 0.158 1
N3 N 0.341 0.250 0.597 1
N4 N 0.659 0.750 0.403 1
N5 N 0.743 0.750 0.842 1
N6 N 0.902 0.250 0.244 1
```

Most intense lines, 15 to 90 degrees two-theta, low angle first:
Position (°2θ), I/Imax
27.3, 68.2
36.0, 48.6
36.3, 20.1
38.6, 100.0
48.1, 16.1
50.3, 9.8
55.2, 17.1
57.8, 9.9
57.9, 13.2
62.6, 10.6

# CdNi3C
Simulated X-ray diffraction stick pattern, CuKα. Input: a structure optimized by DFT (PBE).

Atomic structure:
```
data_CdNi3C
_symmetry_space_group_name_H-M 'P 1'
_symmetry_Int_Tables_number 1
_symmetry_space_group_name_Hall 'P 1'
_cell_length_a 3.866
_cell_length_b 3.866
_cell_length_c 3.866
_cell_angle_alpha 90.00
_cell_angle_beta 90.00
_cell_angle_gamma 90.00
loop_
_atom_site_label
_atom_site_type_symbol
_atom_site_fract_x
_atom_site_fract_y
_atom_site_fract_z
_atom_site_occupancy
Cd1 Cd 0.000 0.000 0.000 1
Ni1 Ni 0.000 0.500 0.500 1
Ni2 Ni 0.500 0.000 0.500 1
Ni3 Ni 0.500 0.500 0.000 1
C1 C 0.500 0.500 0.500 1
```

Most intense lines, 15 to 90 degrees two-theta, low angle first:
Position (°2θ), I/Imax
23.0, 4.9
32.8, 10.9
40.4, 100.0
47.0, 53.8
53.0, 2.5
58.5, 3.7
68.7, 31.8
78.2, 1.6
82.8, 33.4
87.4, 10.9

# MgCd
Simulated X-ray diffraction stick pattern, CuKα. Input: a structure optimized by DFT (PBE).

Atomic structure:
```
data_MgCd
_symmetry_space_group_name_H-M 'P 1'
_symmetry_Int_Tables_number 1
_symmetry_space_group_name_Hall 'P 1'
_cell_length_a 3.249
_cell_length_b 3.249
_cell_length_c 9.784
_cell_angle_alpha 90.00
_cell_angle_beta 90.00
_cell_angle_gamma 120.00
loop_
_atom_site_label
_atom_site_type_symbol
_atom_site_fract_x
_atom_site_fract_y
_atom_site_fract_z
_atom_site_occupancy
Mg1 Mg 0.333 0.667 0.129 1
Mg2 Mg 0.667 0.333 0.871 1
Cd1 Cd 0.333 0.667 0.626 1
Cd2 Cd 0.667 0.333 0.374 1
```

Most intense lines, 15 to 90 degrees two-theta, low angle first:
Position (°2θ), I/Imax
27.3, 9.9
31.8, 25.0
33.1, 35.9
36.7, 22.4
36.8, 100.0
42.4, 17.9
49.4, 14.1
56.7, 18.2
66.2, 16.6
69.5, 33.5

# NaLaTi4O12
Simulated X-ray diffraction stick pattern, CuKα. Input: a structure optimized by DFT (PBE).

Atomic structure:
```
data_NaLaTi4O12
_symmetry_space_group_name_H-M 'P 1'
_symmetry_Int_Tables_number 1
_symmetry_space_group_name_Hall 'P 1'
_cell_length_a 7.873
_cell_length_b 5.449
_cell_length_c 5.449
_cell_angle_alpha 89.99
_cell_angle_beta 90.00
_cell_angle_gamma 90.00
loop_
_atom_site_label
_atom_site_type_symbol
_atom_site_fract_x
_atom_site_fract_y
_atom_site_fract_z
_atom_site_occupancy
Na1 Na 0.000 0.000 0.000 1
La1 La 0.500 0.479 0.479 1
Ti1 Ti 0.235 0.494 0.986 1
Ti2 Ti 0.235 0.986 0.494 1
Ti3 Ti 0.765 0.494 0.986 1
Ti4 Ti 0.765 0.986 0.494 1
O1 O 0.000 0.009 0.459 1
O2 O 0.000 0.459 0.009 1
O3 O 0.230 0.764 0.764 1
O4 O 0.266 0.265 0.718 1
O5 O 0.266 0.718 0.265 1
O6 O 0.279 0.234 0.234 1
O7 O 0.500 0.511 0.965 1
O8 O 0.500 0.965 0.511 1
O9 O 0.721 0.234 0.234 1
O10 O 0.734 0.265 0.718 1
O11 O 0.734 0.718 0.265 1
O12 O 0.770 0.764 0.764 1
```

Most intense lines, 15 to 90 degrees two-theta, low angle first:
Position (°2θ), I/Imax
16.3, 39.2
19.8, 100.0
25.7, 33.4
32.5, 84.8
32.9, 42.8
38.7, 35.1
46.1, 25.2
47.2, 49.0
58.5, 33.4
68.1, 24.7

# Te6Mo3WS2
Simulated X-ray diffraction stick pattern, CuKα. Input: a structure optimized by DFT (PBE).

Atomic structure:
```
data_Te6Mo3WS2
_symmetry_space_group_name_H-M 'P 1'
_symmetry_Int_Tables_number 1
_symmetry_space_group_name_Hall 'P 1'
_cell_length_a 3.450
_cell_length_b 3.450
_cell_length_c 39.341
_cell_angle_alpha 90.00
_cell_angle_beta 90.00
_cell_angle_gamma 120.00
loop_
_atom_site_label
_atom_site_type_symbol
_atom_site_fract_x
_atom_site_fract_y
_atom_site_fract_z
_atom_site_occupancy
Te1 Te 0.000 0.000 0.000 1
Te2 Te 0.000 0.000 0.094 1
Te3 Te 0.000 0.000 0.376 1
Te4 Te 0.000 0.000 0.470 1
Te5 Te 0.667 0.333 0.188 1
Te6 Te 0.667 0.333 0.282 1
Mo1 Mo 0.000 0.000 0.235 1
Mo2 Mo 0.667 0.333 0.047 1
Mo3 Mo 0.667 0.333 0.423 1
W1 W 0.000 0.000 0.611 1
S1 S 0.667 0.333 0.573 1
S2 S 0.667 0.333 0.649 1
```

Most intense lines, 15 to 90 degrees two-theta, low angle first:
Position (°2θ), I/Imax
29.9, 56.8
30.3, 14.7
35.1, 100.0
36.4, 15.3
42.5, 57.2
44.2, 16.8
53.1, 38.3
65.3, 16.1
74.8, 18.4
88.9, 14.5